# Tl6Hg5Au
Computed powder XRD pattern, Cu Kα X-rays. Input: a GGA-PBE-relaxed structure.
Kinematic intensities with the Lorentz-polarization factor, no thermal factor.

Peak list (12 most intense, 15° ≤ 2θ ≤ 90°, in order of falling intensity)
hkl  2θ (°)  Rel. int.
1 2 3  32.23  100.0
2 0 0  35.14  23.1
3 2 3  61.23  22.1
0 0 6  35.26  17.5
2 4 0  55.49  16.2
2 0 6  50.64  12.8
0 4 0  41.47  10.8
1 1 4  31.00  10.6
1 2 9  61.38  9.3
2 4 6  67.45  7.7
1 6 3  69.85  5.8
1 3 2  37.53  5.1

Unit cell a=5.107 b=8.709 c=15.272 alpha=90.00 beta=90.00 gamma=90.00
Space group Immm (No. 71)
Asymmetric unit:
1 Tl 0.000 0.208 0.000
2 Tl 0.000 0.274 0.341
3 Hg 0.000 0.000 0.193
4 Hg 0.000 0.000 0.500
5 Hg 0.000 0.500 0.149
6 Au 0.000 0.500 0.500